1.
Calculated powder diffraction line list of MnV5 for CuKα, from a structure optimized by DFT (GGA-PBE).
Intensities are scaled so that the largest is 100.

Atomic structure:
Lattice parameters (Å, degrees): 6.623 6.623 2.948 90.00 90.00 143.34
Positions (direct):
1 Mn 0.000 0.000 0.000
2 V 0.161 0.839 0.500
3 V 0.333 0.667 0.000
4 V 0.500 0.500 0.500
5 V 0.667 0.333 0.000
6 V 0.839 0.161 0.500

Main lines, in order of rising 2θ (15 to 90 degrees two-theta):
Position (°2θ)  I_rel
43.2  20
43.4  100
62.9  12
63.1  6
79.3  11
79.7  17



2.
Calculated powder diffraction line list of K2PuZnS4 for CuKα, from a structure optimized by DFT (GGA-PBE).
Intensities are scaled so that the largest is 100.

Atomic structure:
Lattice parameters (Å, degrees): 8.217 8.217 8.247 117.39 117.39 94.04
Positions (direct):
1 K 0.000 0.000 0.000
2 K 0.000 0.000 0.500
3 K 0.000 0.500 0.000
4 K 0.500 0.000 0.500
5 Pu 0.500 0.500 0.000
6 Pu 0.500 0.500 0.500
7 Zn 0.000 0.500 0.500
8 Zn 0.500 0.000 0.000
9 S 0.228 0.686 0.503
10 S 0.291 0.293 0.555
11 S 0.293 0.291 0.055
12 S 0.314 0.772 0.997
13 S 0.686 0.228 0.003
14 S 0.707 0.709 0.945
15 S 0.709 0.707 0.445
16 S 0.772 0.314 0.497

Main lines, in order of rising 2θ (15 to 90 degrees two-theta):
Position (°2θ)  I_rel
26.2  75
26.3  71
29.3  100
29.7  99
32.0  71
42.3  69



3.
Calculated powder diffraction line list of Ac2TlSn3 for CuKα, from a structure optimized by DFT (GGA-PBE).
Intensities are scaled so that the largest is 100.

Atomic structure:
Lattice parameters (Å, degrees): 4.434 4.907 9.113 90.00 90.00 90.00
Positions (direct):
1 Ac 0.000 0.000 0.000
2 Ac 0.000 0.500 0.482
3 Tl 0.500 0.500 0.825
4 Sn 0.500 0.000 0.326
5 Sn 0.500 0.000 0.649
6 Sn 0.500 0.500 0.155

Main lines, in order of rising 2θ (15 to 90 degrees two-theta):
Position (°2θ)  I_rel
28.1  49
28.9  100
34.7  57
36.6  25
46.8  25
54.6  32